For Ba3LiW2O9, a structure optimized by DFT (GGA+U) gives the calculated X-ray powder pattern in this record (Cu Kα (λ = 1.5418 Å)).

Cell and atoms:
```
Ba3LiW2O9
1.0
5.8724 0.0000 0.0000
-2.9362 5.0857 0.0000
0.0000 0.0000 7.1636
Ba Li W O
3 1 2 9
Direct
0.0000 0.0000 0.0000
0.3333 0.6667 0.6570
0.6667 0.3333 0.3430
0.0000 0.0000 0.5000
0.3333 0.6667 0.1717
0.6667 0.3333 0.8283
0.0000 0.5000 0.0000
0.1750 0.3500 0.3150
0.1750 0.8250 0.3150
0.3500 0.1750 0.6850
0.5000 0.0000 0.0000
0.5000 0.5000 0.0000
0.6500 0.8250 0.3150
0.8250 0.1750 0.6850
0.8250 0.6500 0.6850
```

Main lines, in order of rising 2θ (10° ≤ 2θ ≤ 80°):
- 17.44°, I = 12, (1 0 0)
- 21.43°, I = 10, (0 1 1)
- 30.49°, I = 100, (1 1 0)
- 43.65°, I = 30, (2 0 2)
- 54.13°, I = 31, (3 0 0)
- 54.31°, I = 10, (1 0 4)
- 63.35°, I = 9, (2 2 0)
- 63.54°, I = 9, (0 2 4)
- 71.95°, I = 9, (3 1 2)
- 72.08°, I = 9, (2 1 4)